No. 1
Starting from a DFT-relaxed cell (PBE, Alexandria), the powder X-ray diffraction pattern of DyTiFe11 was simulated for Cu Kα.
Intensities are scaled so that the largest is 100.

Top 10 peaks for 15° ≤ 2θ ≤ 90°, sorted by position:
two_theta  Rel. int.
30.30  40
37.05  21
37.24  24
38.30  16
42.54  32
42.85  28
43.05  100
44.07  69
49.29  23
72.53  20

Structural model:
Cell lengths 6.434, 6.434, 6.434 Å; angles 137.16, 98.01, 97.32 degrees
Atoms (fractional coordinates):
Dy (0.000, 0.000, 0.000)
Ti (0.375, 0.375, 0.000)
Fe (0.004, 0.004, 0.499)
Fe (0.004, 0.505, 0.000)
Fe (0.224, 0.506, 0.718)
Fe (0.233, 0.733, 0.500)
Fe (0.361, 0.006, 0.356)
Fe (0.506, 0.004, 0.000)
Fe (0.506, 0.505, 0.501)
Fe (0.650, 0.006, 0.644)
Fe (0.652, 0.652, 0.000)
Fe (0.774, 0.274, 0.500)
Fe (0.789, 0.506, 0.282)



No. 2
Starting from a DFT-relaxed cell (PBE, Alexandria), the powder X-ray diffraction pattern of Dy2U2Fe3 was simulated for Cu Kα.
Intensities are scaled so that the largest is 100.

Top 10 peaks for 15° ≤ 2θ ≤ 90°, sorted by position:
two_theta  Rel. int.
26.23  68
28.80  60
29.04  68
34.15  95
35.02  100
36.35  81
43.31  40
44.35  40
45.94  57
60.78  24

Structural model:
Cell lengths 4.128, 4.402, 8.114 Å; angles 100.19, 97.52, 103.61 degrees
Atoms (fractional coordinates):
Dy (0.234, 0.189, 0.390)
Dy (0.766, 0.811, 0.610)
U (0.222, 0.582, 0.873)
U (0.778, 0.418, 0.127)
Fe (0.000, 0.000, 0.000)
Fe (0.446, 0.212, 0.785)
Fe (0.554, 0.788, 0.215)



No. 3
Starting from a DFT-relaxed cell (PBE, Alexandria), the powder X-ray diffraction pattern of DyV2Fe10 was simulated for Cu Kα.
Intensities are scaled so that the largest is 100.

Top 10 peaks for 15° ≤ 2θ ≤ 90°, sorted by position:
two_theta  Rel. int.
30.40  65
37.13  31
37.38  31
42.60  48
42.99  41
43.10  68
43.22  76
44.25  100
49.48  34
72.84  28

Structural model:
Cell lengths 6.419, 6.419, 6.419 Å; angles 137.25, 98.07, 97.20 degrees
Atoms (fractional coordinates):
Dy (0.000, 0.000, 0.000)
V (0.359, 0.359, 0.000)
V (0.641, 0.641, 0.000)
Fe (0.000, 0.000, 0.500)
Fe (0.000, 0.500, 0.000)
Fe (0.225, 0.500, 0.725)
Fe (0.228, 0.728, 0.500)
Fe (0.359, 0.000, 0.359)
Fe (0.500, 0.000, 0.000)
Fe (0.500, 0.500, 0.500)
Fe (0.641, 0.000, 0.641)
Fe (0.772, 0.272, 0.500)
Fe (0.775, 0.500, 0.275)



No. 4
Starting from a DFT-relaxed cell (PBE, Alexandria), the powder X-ray diffraction pattern of DyY2Fe9 was simulated for Cu Kα.
Intensities are scaled so that the largest is 100.

Top 10 peaks for 15° ≤ 2θ ≤ 90°, sorted by position:
two_theta  Rel. int.
32.86  35
35.17  42
35.94  30
41.01  36
41.54  15
41.88  100
44.87  17
61.65  11
67.70  22
74.35  20

Structural model:
Cell lengths 8.600, 8.600, 8.600 Å; angles 34.52, 34.52, 34.52 degrees
Atoms (fractional coordinates):
Dy (0.000, 0.000, 0.000)
Y (0.142, 0.142, 0.142)
Y (0.858, 0.858, 0.858)
Fe (0.082, 0.581, 0.581)
Fe (0.333, 0.333, 0.333)
Fe (0.419, 0.419, 0.918)
Fe (0.419, 0.918, 0.419)
Fe (0.500, 0.500, 0.500)
Fe (0.581, 0.082, 0.581)
Fe (0.581, 0.581, 0.082)
Fe (0.667, 0.667, 0.667)
Fe (0.918, 0.419, 0.419)



No. 5
Starting from a DFT-relaxed cell (PBE, Alexandria), the powder X-ray diffraction pattern of DyYFe was simulated for Cu Kα.
Intensities are scaled so that the largest is 100.

Top 10 peaks for 15° ≤ 2θ ≤ 90°, sorted by position:
two_theta  Rel. int.
28.46  88
30.22  100
32.41  90
32.61  92
35.86  96
39.02  64
39.62  50
41.99  37
54.94  48
55.43  39

Structural model:
Cell lengths 6.863, 6.863, 7.384 Å; angles 90.00, 90.00, 120.47 degrees
Atoms (fractional coordinates):
Dy (0.205, 0.295, 0.250)
Dy (0.295, 0.205, 0.750)
Dy (0.705, 0.795, 0.250)
Dy (0.795, 0.705, 0.750)
Y (0.197, 0.803, 0.387)
Y (0.303, 0.697, 0.887)
Y (0.697, 0.303, 0.113)
Y (0.803, 0.197, 0.613)
Fe (0.091, 0.909, 0.044)
Fe (0.409, 0.591, 0.544)
Fe (0.591, 0.409, 0.456)
Fe (0.909, 0.091, 0.956)



No. 6
Starting from a DFT-relaxed cell (PBE, Alexandria), the powder X-ray diffraction pattern of Dy2YFe9 was simulated for Cu Kα.
Intensities are scaled so that the largest is 100.

Top 10 peaks for 15° ≤ 2θ ≤ 90°, sorted by position:
two_theta  Rel. int.
32.88  48
35.24  54
35.96  31
41.09  37
41.93  100
43.67  18
45.16  19
46.05  20
67.82  22
74.51  22

Structural model:
Cell lengths 8.598, 8.598, 8.598 Å; angles 34.46, 34.46, 34.46 degrees
Atoms (fractional coordinates):
Dy (0.142, 0.142, 0.142)
Dy (0.858, 0.858, 0.858)
Y (0.000, 0.000, 0.000)
Fe (0.082, 0.581, 0.581)
Fe (0.333, 0.333, 0.333)
Fe (0.419, 0.419, 0.918)
Fe (0.419, 0.918, 0.419)
Fe (0.500, 0.500, 0.500)
Fe (0.581, 0.082, 0.581)
Fe (0.581, 0.581, 0.082)
Fe (0.667, 0.667, 0.667)
Fe (0.918, 0.419, 0.419)